Entry 1:
The following is a simulated X-ray powder pattern of Li2Ac3Pm2Au4. It was derived from DFT lattice parameters and positions (GGA-PBE), using Cu Kα.
No peak broadening, texture or thermal motion is included.

The 10 most intense peaks (10 to 80 degrees two-theta), most intense first:
| 2θ/deg | I/Imax |
| --- | --- |
| 31.5 | 100 |
| 36.9 | 78 |
| 24.1 | 45 |
| 49.3 | 29 |
| 63.1 | 28 |
| 21.8 | 23 |
| 41.3 | 23 |
| 61.5 | 16 |
| 27.4 | 16 |
| 66.4 | 14 |

Structural model:
a = 4.8764 Å, b = 4.8764 Å, c = 15.3494 Å
α = 90.00°, β = 90.00°, γ = 120.00°
Element x y z (fractional)
Li  0.3333  0.6667  0.1314
Li  0.6667  0.3333  0.8686
Ac  0.0000  0.0000  0.0000
Ac  0.0000  0.0000  0.2515
Ac  0.0000  0.0000  0.7485
Pm  0.3333  0.6667  0.5742
Pm  0.6667  0.3333  0.4258
Au  0.3333  0.6667  0.3664
Au  0.3333  0.6667  0.8755
Au  0.6667  0.3333  0.1245
Au  0.6667  0.3333  0.6336

---

Entry 2:
The following is a simulated X-ray powder pattern of LaThAlGe. It was derived from DFT lattice parameters and positions (GGA-PBE), using Cu Kα.
No peak broadening, texture or thermal motion is included.

The 10 most intense peaks (10 to 80 degrees two-theta), most intense first:
| 2θ/deg | I/Imax |
| --- | --- |
| 30.3 | 100 |
| 30.7 | 58 |
| 26.6 | 48 |
| 37.7 | 38 |
| 31.3 | 27 |
| 21.2 | 27 |
| 39.9 | 24 |
| 54.3 | 24 |
| 48.6 | 19 |
| 38.2 | 19 |

Structural model:
a = 4.1433 Å, b = 6.1498 Å, c = 6.1498 Å
α = 43.08°, β = 90.00°, γ = 90.00°
Element x y z (fractional)
La  0.0000  0.0000  0.0000
Th  0.5000  0.2861  0.2861
Al  0.0000  0.7153  0.7153
Ge  0.5000  0.5720  0.5720

---

Entry 3:
The following is a simulated X-ray powder pattern of K4AsH5S3O16. It was derived from DFT lattice parameters and positions (GGA-PBE), using Cu Kα.
No peak broadening, texture or thermal motion is included.

The 10 most intense peaks (10 to 80 degrees two-theta), most intense first:
| 2θ/deg | I/Imax |
| --- | --- |
| 24.3 | 100 |
| 23.4 | 49 |
| 27.1 | 36 |
| 27.2 | 30 |
| 28.4 | 29 |
| 30.6 | 26 |
| 26.8 | 21 |
| 17.8 | 20 |
| 33.3 | 16 |
| 43.0 | 13 |

Structural model:
a = 9.0280 Å, b = 10.3093 Å, c = 10.9557 Å
α = 72.56°, β = 66.93°, γ = 65.25°
Element x y z (fractional)
K  0.2174  0.0452  0.0031
K  0.2327  0.5702  0.0951
K  0.2456  0.9282  0.4003
K  0.2664  0.4788  0.5124
K  0.7336  0.5212  0.4876
K  0.7544  0.0718  0.5997
K  0.7673  0.4298  0.9049
K  0.7826  0.9548  0.9969
As  0.4719  0.8165  0.7206
As  0.5281  0.1835  0.2794
H  0.1915  0.4096  0.8479
H  0.2179  0.7753  0.8623
H  0.2577  0.2604  0.2539
H  0.3209  0.1131  0.6466
H  0.3279  0.7372  0.6330
H  0.6721  0.2628  0.3670
H  0.6791  0.8869  0.3534
H  0.7423  0.7396  0.7461
H  0.7821  0.2247  0.1377
H  0.8085  0.5904  0.1521
S  0.0347  0.6979  0.7713
S  0.0419  0.1888  0.6844
S  0.4691  0.3186  0.8165
S  0.5309  0.6814  0.1835
S  0.9581  0.8112  0.3156
S  0.9653  0.3021  0.2287
O  0.0099  0.1444  0.8310
O  0.0385  0.5461  0.7999
O  0.0482  0.0790  0.6210
O  0.0706  0.7280  0.8803
O  0.0722  0.6649  0.3513
O  0.1385  0.1999  0.2362
O  0.1677  0.7199  0.6397
O  0.2261  0.2063  0.6217
O  0.2772  0.3151  0.8780
O  0.3128  0.7976  0.8735
O  0.3327  0.3086  0.2618
O  0.4296  0.8318  0.1436
O  0.4441  0.7533  0.6032
O  0.4738  0.4239  0.8787
O  0.4741  0.9856  0.6806
O  0.4953  0.6394  0.3304
O  0.5047  0.3606  0.6696
O  0.5259  0.0144  0.3194
O  0.5262  0.5761  0.1213
O  0.5559  0.2467  0.3968
O  0.5704  0.1682  0.8564
O  0.6673  0.6914  0.7382
O  0.6872  0.2024  0.1265
O  0.7228  0.6849  0.1220
O  0.7739  0.7937  0.3783
O  0.8323  0.2801  0.3603
O  0.8615  0.8001  0.7638
O  0.9278  0.3351  0.6487
O  0.9294  0.2720  0.1197
O  0.9518  0.9210  0.3790
O  0.9615  0.4539  0.2001
O  0.9901  0.8556  0.1690

---

Entry 4:
The following is a simulated X-ray powder pattern of LiEr2TaO6. It was derived from DFT lattice parameters and positions (GGA-PBE), using Cu Kα.
No peak broadening, texture or thermal motion is included.

The 10 most intense peaks (10 to 80 degrees two-theta), most intense first:
| 2θ/deg | I/Imax |
| --- | --- |
| 30.3 | 100 |
| 32.4 | 99 |
| 19.5 | 53 |
| 49.1 | 53 |
| 22.0 | 50 |
| 44.9 | 38 |
| 56.4 | 38 |
| 57.7 | 33 |
| 17.7 | 24 |
| 37.1 | 22 |

Structural model:
a = 5.9343 Å, b = 5.9343 Å, c = 5.9343 Å
α = 55.56°, β = 55.56°, γ = 55.56°
Element x y z (fractional)
Li  0.0000  0.0000  0.0000
Er  0.2542  0.2542  0.2542
Er  0.7554  0.7554  0.7554
Ta  0.4591  0.4591  0.4591
O  0.0876  0.6510  0.3592
O  0.1960  0.5453  0.8176
O  0.3592  0.0876  0.6510
O  0.5453  0.8176  0.1960
O  0.6510  0.3592  0.0876
O  0.8176  0.1960  0.5453

---

Entry 5:
The following is a simulated X-ray powder pattern of CuAg. It was derived from DFT lattice parameters and positions (GGA-PBE), using Cu Kα.
No peak broadening, texture or thermal motion is included.

The 10 most intense peaks (10 to 80 degrees two-theta), most intense first:
| 2θ/deg | I/Imax |
| --- | --- |
| 40.0 | 100 |
| 45.1 | 38 |
| 79.7 | 24 |
| 68.9 | 14 |
| 33.7 | 13 |
| 65.6 | 12 |
| 49.2 | 10 |
| 36.4 | 7 |
| 59.2 | 7 |
| 71.8 | 7 |

Structural model:
a = 2.8459 Å, b = 2.8459 Å, c = 7.4073 Å
α = 90.00°, β = 90.00°, γ = 90.00°
Element x y z (fractional)
Cu  0.2500  0.2500  0.1009
Cu  0.7500  0.7500  0.8991
Ag  0.2500  0.2500  0.6474
Ag  0.7500  0.7500  0.3526

---

Entry 6:
The following is a simulated X-ray powder pattern of La4Sm3UAs8. It was derived from DFT lattice parameters and positions (GGA-PBE), using Cu Kα.
No peak broadening, texture or thermal motion is included.

The 10 most intense peaks (10 to 80 degrees two-theta), most intense first:
| 2θ/deg | I/Imax |
| --- | --- |
| 29.5 | 100 |
| 42.3 | 75 |
| 25.5 | 21 |
| 52.4 | 20 |
| 77.3 | 19 |
| 69.6 | 17 |
| 69.4 | 17 |
| 61.3 | 12 |
| 50.0 | 8 |
| 52.3 | 7 |

Structural model:
a = 8.5619 Å, b = 8.5619 Å, c = 8.5619 Å
α = 59.87°, β = 59.87°, γ = 59.87°
Element x y z (fractional)
La  0.0000  0.0000  0.0000
La  0.0000  0.5000  0.5000
La  0.5000  0.0000  0.5000
La  0.5000  0.5000  0.0000
Sm  0.0000  0.0000  0.5000
Sm  0.0000  0.5000  0.0000
Sm  0.5000  0.0000  0.0000
U  0.5000  0.5000  0.5000
As  0.2476  0.2476  0.2476
As  0.2525  0.7421  0.7421
As  0.2579  0.2579  0.7475
As  0.2579  0.7475  0.2579
As  0.7421  0.2525  0.7421
As  0.7421  0.7421  0.2525
As  0.7475  0.2579  0.2579
As  0.7524  0.7524  0.7524